Structure and computed powder X-ray diffraction pattern of LiCe2Hg7 (a structure optimized by DFT (GGA-PBE); a wavelength of 1.5418 Å).
Peak positions follow from Bragg's law for the DFT cell and can differ from measured ones.

The 12 most intense peaks (10 to 90 degrees two-theta), by angle:
2theta, d/Å, I/Imax
17.21, 5.154, 20
28.72, 3.108, 12
30.03, 2.976, 100
34.81, 2.577, 89
38.05, 2.365, 17
50.06, 1.822, 62
59.48, 1.554, 39
62.42, 1.488, 20
70.13, 1.342, 11
73.50, 1.288, 9
81.39, 1.182, 14
83.97, 1.152, 25

Cell and atoms:
```
data_LiCe2Hg7
_chemical_formula_sum 'Li4 Ce8 Hg28'
_space_group_name_H-M_alt 'F m -3 m'
_space_group_IT_number 225
_space_group_name_Hall '-F 4 2 3'
_cell_length_a 10.3078
_cell_length_b 10.3078
_cell_length_c 10.3078
_cell_angle_alpha 90.00
_cell_angle_beta 90.00
_cell_angle_gamma 90.00
loop_
_atom_site_label
_atom_site_type_symbol
_atom_site_fract_x
_atom_site_fract_y
_atom_site_fract_z
Li1 Li 0.0000 0.0000 0.0000
Ce1 Ce 0.2500 0.2500 0.2500
Hg1 Hg 0.0000 0.0000 0.2326
Hg2 Hg 0.0000 0.0000 0.5000
```